# 1
The following is a simulated powder diffraction line list of NaSr2InBr6. It was derived from a DFT-relaxed cell (PBE, Alexandria), using Cu Kα.
Kinematic intensities with the Lorentz-polarization factor, no thermal factor.

Main lines, in order of rising 2θ (2θ = 15–90°):
2θ 15.48, d 5.725, intensity 26, (0 1 2)
2θ 21.35, d 4.161, intensity 19, (1 0 4)
2θ 25.93, d 3.436, intensity 100, (1 1 3)
2θ 31.25, d 2.863, intensity 27, (0 2 4)
2θ 34.27, d 2.617, intensity 63, (2 -1 6)
2θ 38.87, d 2.317, intensity 19, (3 -1 4)
2θ 39.57, d 2.277, intensity 49, (3 0 0)
2θ 45.18, d 2.007, intensity 30, (1 1 9)
2θ 47.92, d 1.898, intensity 13, (4 -2 3)
2θ 53.33, d 1.718, intensity 14, (2 2 6)
2θ 61.77, d 1.502, intensity 9, (5 -2 4)
2θ 68.39, d 1.372, intensity 15, (5 -1 6)

Crystal structure
Cell: 7.8892 7.8892 20.9841 Å, 90.00 90.00 120.00°
Space group R3 (No. 146, hexagonal axes)
Symmetry-distinct sites (fractional):
Na  0.0000  0.0000  0.0000 x3
Sr  0.0000  0.0000  0.3072 x3
Sr  0.0000  0.0000  0.8010 x3
In  0.0000  0.0000  0.5096 x3
Br  0.0048  0.3155  0.3970 x9
Br  0.0268  0.6316  0.5673 x9

***

# 2
The following is a simulated powder diffraction line list of Pu6Ga2Si. It was derived from a DFT-relaxed cell (PBE, Alexandria), using Cu Kα.
Kinematic intensities with the Lorentz-polarization factor, no thermal factor.

Main lines, in order of rising 2θ (2θ = 15–90°):
2θ 20.44, d 4.346, intensity 27, (1 1 0)
2θ 28.98, d 3.082, intensity 21, (0 0 1)
2θ 35.76, d 2.511, intensity 100, (3 0 0)
2θ 46.69, d 1.946, intensity 36, (3 0 1)
2θ 51.46, d 1.776, intensity 14, (2 2 1)
2θ 60.05, d 1.541, intensity 5, (0 0 2)
2θ 64.29, d 1.449, intensity 26, (3 3 0)
2θ 71.91, d 1.313, intensity 17, (3 0 2)
2θ 72.04, d 1.311, intensity 10, (3 3 1)
2θ 75.84, d 1.254, intensity 7, (6 0 0)
2θ 83.14, d 1.162, intensity 7, (6 0 1)
2θ 86.76, d 1.122, intensity 6, (5 2 1)

Crystal structure
Cell: 8.6910 8.6910 3.0816 Å, 90.00 90.00 120.00°
Space group P6/mmm (No. 191)
Symmetry-distinct sites (fractional):
Pu  0.0000  0.3301  0.0000 x6
Ga  0.3333  0.6667  0.5000 x2
Si  0.0000  0.0000  0.5000 x1